No. 1
Theoretical X-ray diffraction stick pattern of Sr2OsO4 for a wavelength of 1.5418 Å, from DFT lattice parameters and positions (GGA-PBE).
Lines closer than 0.1° are merged.

Top 8 peaks for 2θ from 10° to 80°, low angle first:
d (Å)  I/Imax
6.388  39.7
2.871  100.0
2.749  58.0
2.135  18.9
1.944  28.7
1.684  21.1
1.611  18.7
1.608  18.6

Cell and atoms:
```
Sr2OsO4
1.0
2.746 -6.388 0.000
2.746 6.388 0.000
0.000 0.000 5.506
Sr Os O
4 2 8
Direct
0.148 0.852 0.998 Sr
0.352 0.648 0.498 Sr
0.648 0.352 0.502 Sr
0.852 0.148 0.002 Sr
0.000 0.000 0.500 Os
0.500 0.500 0.000 Os
0.164 0.836 0.507 O
0.248 0.252 0.750 O
0.252 0.248 0.250 O
0.336 0.664 0.007 O
0.664 0.336 0.993 O
0.748 0.752 0.750 O
0.752 0.748 0.250 O
0.836 0.164 0.493 O
```

No. 2
Theoretical X-ray diffraction stick pattern of AcCdO3 for a wavelength of 1.5418 Å, from DFT lattice parameters and positions (GGA-PBE).
Lines closer than 0.1° are merged.

Top 8 peaks for 2θ from 10° to 80°, low angle first:
d (Å)  I/Imax
4.184  18.9
3.010  100.0
2.910  97.8
2.092  48.7
1.738  26.1
1.718  44.0
1.662  19.1
1.310  17.9

Cell and atoms:
```
AcCdO3
1.0
3.010 1.738 4.675
-3.010 1.738 4.675
0.000 -3.476 4.675
Ac Cd O
2 2 6
Direct
0.250 0.250 0.250 Ac
0.750 0.750 0.750 Ac
0.000 0.000 0.000 Cd
0.500 0.500 0.500 Cd
0.157 0.750 0.343 O
0.250 0.657 0.843 O
0.343 0.157 0.750 O
0.657 0.843 0.250 O
0.750 0.343 0.157 O
0.843 0.250 0.657 O
```

No. 3
Theoretical X-ray diffraction stick pattern of Sn3Te3Ir2 for a wavelength of 1.5418 Å, from DFT lattice parameters and positions (GGA-PBE).
Lines closer than 0.1° are merged.

Top 8 peaks for 2θ from 10° to 80°, low angle first:
d (Å)  I/Imax
4.731  57.1
3.345  20.2
2.992  100.0
2.529  36.2
2.116  82.2
1.931  57.1
1.856  25.5
1.427  14.7

Cell and atoms:
```
Sn3Te3Ir2
1.0
6.686 3.860 5.470
-6.686 3.860 5.470
0.000 -7.721 5.470
Sn Te Ir
12 12 8
Direct
0.001 0.674 0.160 Sn
0.160 0.001 0.674 Sn
0.173 0.340 0.501 Sn
0.326 0.840 0.999 Sn
0.340 0.501 0.173 Sn
0.499 0.827 0.660 Sn
0.501 0.173 0.340 Sn
0.660 0.499 0.827 Sn
0.674 0.160 0.001 Sn
0.827 0.660 0.499 Sn
0.840 0.999 0.326 Sn
0.999 0.326 0.840 Sn
0.002 0.346 0.151 Te
0.151 0.002 0.346 Te
0.155 0.650 0.499 Te
0.346 0.151 0.002 Te
0.350 0.501 0.845 Te
0.499 0.155 0.650 Te
0.501 0.845 0.350 Te
0.650 0.499 0.155 Te
0.654 0.849 0.998 Te
0.845 0.350 0.501 Te
0.849 0.998 0.654 Te
0.998 0.654 0.849 Te
0.248 0.749 0.748 Ir
0.249 0.249 0.249 Ir
0.251 0.252 0.752 Ir
0.252 0.752 0.251 Ir
0.748 0.248 0.749 Ir
0.749 0.748 0.248 Ir
0.751 0.751 0.751 Ir
0.752 0.251 0.252 Ir
```

No. 4
Theoretical X-ray diffraction stick pattern of Y4Pd for a wavelength of 1.5418 Å, from DFT lattice parameters and positions (GGA-PBE).
Lines closer than 0.1° are merged.

Top 8 peaks for 2θ from 10° to 80°, low angle first:
d (Å)  I/Imax
3.530  12.9
2.745  100.0
2.391  40.7
2.350  22.8
1.709  13.1
1.676  26.7
1.421  16.9
1.346  14.4

Cell and atoms:
```
Y4Pd
1.0
7.562 0.000 0.000
0.000 7.562 0.000
0.000 0.000 4.699
Y Pd
8 2
Direct
0.152 0.348 0.000 Y
0.159 0.659 0.500 Y
0.341 0.159 0.500 Y
0.348 0.848 0.000 Y
0.652 0.152 0.000 Y
0.659 0.841 0.500 Y
0.841 0.341 0.500 Y
0.848 0.652 0.000 Y
0.000 0.000 0.000 Pd
0.500 0.500 0.000 Pd
```